Entry 1:
Structure and simulated powder diffraction line list of YZr2AgH (a structure optimized by DFT (PBE); Cu Kα (λ = 1.5418 Å)).

Cell and atoms:
```
data_YZr2AgH
_chemical_formula_sum 'Y1 Zr2 Ag1 H1'
_symmetry_space_group_name_H-M 'P 4/m m m'
_symmetry_Int_Tables_number 123
_symmetry_space_group_name_Hall '-P 4 2'
_cell_length_a 4.439
_cell_length_b 4.439
_cell_length_c 4.812
_cell_angle_alpha 90.00
_cell_angle_beta 90.00
_cell_angle_gamma 90.00
loop_
_atom_site_label
_atom_site_type_symbol
_atom_site_fract_x
_atom_site_fract_y
_atom_site_fract_z
_atom_site_occupancy
Y1 Y 0.000 0.000 0.000 1
Zr1 Zr 0.000 0.500 0.500 1
Ag1 Ag 0.500 0.500 0.000 1
H1 H 0.000 0.000 0.500 1
```

The 6 most intense peaks (10° ≤ 2θ ≤ 90°), by angle:
2θ = 34.10°, I = 100, (1 1 1)
2θ = 37.37°, I = 20, (0 0 2)
2θ = 40.65°, I = 31, (2 0 0)
2θ = 56.39°, I = 23, (2 0 2)
2θ = 65.32°, I = 14, (1 1 3)
2θ = 69.78°, I = 23, (3 1 1)


Entry 2:
Structure and simulated powder diffraction line list of Zr6AgH (a structure optimized by DFT (PBE); Cu Kα (λ = 1.5418 Å)).

Cell and atoms:
```
data_Zr6AgH
_chemical_formula_sum 'Zr6 Ag1 H1'
_symmetry_space_group_name_H-M 'P -1'
_symmetry_Int_Tables_number 2
_cell_length_a 5.455
_cell_length_b 5.564
_cell_length_c 5.648
_cell_angle_alpha 101.31
_cell_angle_beta 107.19
_cell_angle_gamma 96.28
loop_
_symmetry_equiv_pos_as_xyz
'x,y,z'
'-x,-y,-z'
loop_
_atom_site_label
_atom_site_type_symbol
_atom_site_fract_x
_atom_site_fract_y
_atom_site_fract_z
_atom_site_occupancy
Zr1 Zr 0.083 0.256 0.175 1
Zr2 Zr 0.256 0.817 0.417 1
Zr3 Zr 0.301 0.391 0.746 1
Ag1 Ag 0.500 0.000 0.000 1
H1 H 0.500 0.500 0.500 1
```

The 6 most intense peaks (10° ≤ 2θ ≤ 90°), by angle:
2θ = 33.55°, I = 93, (2 0 -1)
2θ = 34.30°, I = 100, (0 1 -2)
2θ = 34.85°, I = 94, (1 -2 0)
2θ = 36.33°, I = 100, (1 1 1)
2θ = 38.27°, I = 61, (1 2 -1)
2θ = 39.42°, I = 67, (-1 1 2)


Entry 3:
Structure and simulated powder diffraction line list of HfAg5 (a structure optimized by DFT (PBE); Cu Kα (λ = 1.5418 Å)).

Cell and atoms:
```
data_HfAg5
_chemical_formula_sum 'Hf2 Ag10'
_symmetry_space_group_name_H-M 'C 1 2/m 1'
_symmetry_Int_Tables_number 12
_cell_length_a 9.481
_cell_length_b 3.916
_cell_length_c 6.258
_cell_angle_alpha 90.00
_cell_angle_beta 107.81
_cell_angle_gamma 90.00
loop_
_symmetry_equiv_pos_as_xyz
'x,y,z'
'-x,-y,-z'
'-x,y,-z'
'x,-y,z'
'x+1/2,y+1/2,z'
'-x+1/2,-y+1/2,-z'
'-x+1/2,y+1/2,-z'
'x+1/2,-y+1/2,z'
loop_
_atom_site_label
_atom_site_type_symbol
_atom_site_fract_x
_atom_site_fract_y
_atom_site_fract_z
_atom_site_occupancy
Hf1 Hf 0.000 0.000 0.000 1
Ag1 Ag 0.000 0.000 0.500 1
Ag2 Ag 0.163 0.500 0.334 1
Ag3 Ag 0.169 0.500 0.834 1
```

The 6 most intense peaks (10° ≤ 2θ ≤ 90°), by angle:
2θ = 36.77°, I = 100, (1 1 -2)
2θ = 37.70°, I = 93, (3 1 0)
2θ = 41.09°, I = 36, (2 0 2)
2θ = 42.20°, I = 34, (4 0 -2)
2θ = 46.37°, I = 25, (0 2 0)
2θ = 63.66°, I = 19, (2 2 2)


Entry 4:
Structure and simulated powder diffraction line list of HfAgHgTe3 (a structure optimized by DFT (PBE); Cu Kα (λ = 1.5418 Å)).

Cell and atoms:
```
data_HfAgHgTe3
_chemical_formula_sum 'Hf2 Ag2 Hg2 Te6'
_symmetry_space_group_name_H-M 'P 1 21/m 1'
_symmetry_Int_Tables_number 11
_cell_length_a 9.564
_cell_length_b 3.978
_cell_length_c 10.663
_cell_angle_alpha 90.00
_cell_angle_beta 113.35
_cell_angle_gamma 90.00
loop_
_symmetry_equiv_pos_as_xyz
'x,y,z'
'-x,-y,-z'
'-x,y+1/2,-z'
'x,-y+1/2,z'
loop_
_atom_site_label
_atom_site_type_symbol
_atom_site_fract_x
_atom_site_fract_y
_atom_site_fract_z
_atom_site_occupancy
Hf1 Hf 0.189 0.250 0.163 1
Ag1 Ag 0.426 0.750 0.392 1
Hg1 Hg 0.271 0.750 0.746 1
Te1 Te 0.043 0.250 0.860 1
Te2 Te 0.249 0.250 0.451 1
Te3 Te 0.383 0.750 0.120 1
```

The 6 most intense peaks (10° ≤ 2θ ≤ 90°), by angle:
2θ = 10.54°, I = 43, (1 0 -1)
2θ = 29.22°, I = 100, (2 1 -1)
2θ = 30.32°, I = 54, (2 1 0)
2θ = 32.85°, I = 33, (1 0 3)
2θ = 33.84°, I = 36, (1 1 -3)
2θ = 41.19°, I = 36, (2 1 -4)


Entry 5:
Structure and simulated powder diffraction line list of Hf2In2Ag3 (a structure optimized by DFT (PBE); Cu Kα (λ = 1.5418 Å)).

Cell and atoms:
```
data_Hf2In2Ag3
_chemical_formula_sum 'Hf4 In4 Ag6'
_symmetry_space_group_name_H-M 'C 1 2/m 1'
_symmetry_Int_Tables_number 12
_cell_length_a 10.973
_cell_length_b 3.265
_cell_length_c 7.952
_cell_angle_alpha 90.00
_cell_angle_beta 97.26
_cell_angle_gamma 90.00
loop_
_symmetry_equiv_pos_as_xyz
'x,y,z'
'-x,-y,-z'
'-x,y,-z'
'x,-y,z'
'x+1/2,y+1/2,z'
'-x+1/2,-y+1/2,-z'
'-x+1/2,y+1/2,-z'
'x+1/2,-y+1/2,z'
loop_
_atom_site_label
_atom_site_type_symbol
_atom_site_fract_x
_atom_site_fract_y
_atom_site_fract_z
_atom_site_occupancy
Hf1 Hf 0.139 0.000 0.426 1
In1 In 0.091 0.500 0.738 1
Ag1 Ag 0.000 0.000 0.000 1
Ag2 Ag 0.203 0.500 0.135 1
```

The 6 most intense peaks (10° ≤ 2θ ≤ 90°), by angle:
2θ = 36.01°, I = 58, (2 0 -3)
2θ = 36.26°, I = 50, (4 0 1)
2θ = 37.34°, I = 100, (1 1 2)
2θ = 37.85°, I = 99, (3 1 -1)
2θ = 65.27°, I = 18, (1 1 -5)
2θ = 66.30°, I = 22, (5 1 -4)


Entry 6:
Structure and simulated powder diffraction line list of Hf3In4Ag (a structure optimized by DFT (PBE); Cu Kα (λ = 1.5418 Å)).

Cell and atoms:
```
data_Hf3In4Ag
_chemical_formula_sum 'Hf6 In8 Ag2'
_symmetry_space_group_name_H-M 'P m n 21'
_symmetry_Int_Tables_number 31
_cell_length_a 9.995
_cell_length_b 6.130
_cell_length_c 5.819
_cell_angle_alpha 90.00
_cell_angle_beta 90.00
_cell_angle_gamma 90.00
loop_
_symmetry_equiv_pos_as_xyz
'x,y,z'
'-x+1/2,-y,z+1/2'
'-x,y,z'
'x+1/2,-y,z+1/2'
loop_
_atom_site_label
_atom_site_type_symbol
_atom_site_fract_x
_atom_site_fract_y
_atom_site_fract_z
_atom_site_occupancy
Hf1 Hf 0.000 0.169 0.000 1
Hf2 Hf 0.232 0.388 0.313 1
In1 In 0.000 0.088 0.503 1
In2 In 0.000 0.586 0.595 1
In3 In 0.229 0.879 0.263 1
Ag1 Ag 0.000 0.640 0.085 1
```

The 6 most intense peaks (10° ≤ 2θ ≤ 90°), by angle:
2θ = 33.03°, I = 45, (0 2 1)
2θ = 35.71°, I = 100, (2 0 2)
2θ = 35.94°, I = 55, (4 0 0)
2θ = 37.74°, I = 52, (2 2 1)
2θ = 39.97°, I = 35, (3 2 0)
2θ = 43.85°, I = 28, (1 2 2)


Entry 7:
Structure and simulated powder diffraction line list of Hf3In3Ag2 (a structure optimized by DFT (PBE); Cu Kα (λ = 1.5418 Å)).

Cell and atoms:
```
data_Hf3In3Ag2
_chemical_formula_sum 'Hf6 In6 Ag4'
_symmetry_space_group_name_H-M 'I m m m'
_symmetry_Int_Tables_number 71
_symmetry_space_group_name_Hall '-I 2 2'
_cell_length_a 4.447
_cell_length_b 4.475
_cell_length_c 16.595
_cell_angle_alpha 90.00
_cell_angle_beta 90.00
_cell_angle_gamma 90.00
loop_
_atom_site_label
_atom_site_type_symbol
_atom_site_fract_x
_atom_site_fract_y
_atom_site_fract_z
_atom_site_occupancy
Hf1 Hf 0.000 0.000 0.000 1
Hf2 Hf 0.000 0.500 0.369 1
In1 In 0.000 0.000 0.500 1
In2 In 0.000 0.500 0.134 1
Ag1 Ag 0.000 0.000 0.250 1
```

The 6 most intense peaks (10° ≤ 2θ ≤ 90°), by angle:
2θ = 35.76°, I = 100, (1 1 4)
2θ = 40.30°, I = 18, (0 2 0)
2θ = 40.58°, I = 18, (2 0 0)
2θ = 43.63°, I = 13, (0 0 8)
2θ = 70.32°, I = 13, (1 3 4)
2θ = 70.70°, I = 13, (3 1 4)


Entry 8:
Structure and simulated powder diffraction line list of Hf12In3Ag (a structure optimized by DFT (PBE); Cu Kα (λ = 1.5418 Å)).

Cell and atoms:
```
data_Hf12In3Ag
_chemical_formula_sum 'Hf24 In6 Ag2'
_symmetry_space_group_name_H-M 'C m m m'
_symmetry_Int_Tables_number 65
_symmetry_space_group_name_Hall '-C 2 2'
_cell_length_a 6.359
_cell_length_b 8.849
_cell_length_c 12.430
_cell_angle_alpha 90.00
_cell_angle_beta 90.00
_cell_angle_gamma 90.00
loop_
_atom_site_label
_atom_site_type_symbol
_atom_site_fract_x
_atom_site_fract_y
_atom_site_fract_z
_atom_site_occupancy
Hf1 Hf 0.000 0.000 0.000 1
Hf2 Hf 0.000 0.000 0.248 1
Hf3 Hf 0.000 0.000 0.500 1
Hf4 Hf 0.250 0.250 0.124 1
Hf5 Hf 0.250 0.250 0.375 1
In1 In 0.000 0.500 0.244 1
In2 In 0.000 0.500 0.500 1
Ag1 Ag 0.000 0.500 0.000 1
```

The 6 most intense peaks (10° ≤ 2θ ≤ 90°), by angle:
2θ = 34.74°, I = 100, (2 2 0)
2θ = 35.30°, I = 96, (0 2 4)
2θ = 40.59°, I = 65, (2 0 4)
2θ = 40.79°, I = 32, (0 4 0)
2θ = 58.91°, I = 44, (2 4 4)
2θ = 70.75°, I = 38, (0 6 4)


Please write out number 2 again, unchanged.
Structure and simulated powder diffraction line list of Zr6AgH (a structure optimized by DFT (PBE); Cu Kα (λ = 1.5418 Å)).

Cell and atoms:
```
data_Zr6AgH
_chemical_formula_sum 'Zr6 Ag1 H1'
_symmetry_space_group_name_H-M 'P -1'
_symmetry_Int_Tables_number 2
_cell_length_a 5.455
_cell_length_b 5.564
_cell_length_c 5.648
_cell_angle_alpha 101.31
_cell_angle_beta 107.19
_cell_angle_gamma 96.28
loop_
_symmetry_equiv_pos_as_xyz
'x,y,z'
'-x,-y,-z'
loop_
_atom_site_label
_atom_site_type_symbol
_atom_site_fract_x
_atom_site_fract_y
_atom_site_fract_z
_atom_site_occupancy
Zr1 Zr 0.083 0.256 0.175 1
Zr2 Zr 0.256 0.817 0.417 1
Zr3 Zr 0.301 0.391 0.746 1
Ag1 Ag 0.500 0.000 0.000 1
H1 H 0.500 0.500 0.500 1
```

The 6 most intense peaks (10° ≤ 2θ ≤ 90°), by angle:
2θ = 33.55°, I = 93, (2 0 -1)
2θ = 34.30°, I = 100, (0 1 -2)
2θ = 34.85°, I = 94, (1 -2 0)
2θ = 36.33°, I = 100, (1 1 1)
2θ = 38.27°, I = 61, (1 2 -1)
2θ = 39.42°, I = 67, (-1 1 2)